1.
Diffraction record for MnMo2Ir9. The powder diffraction line list is calculated, not measured: it uses a structure optimized by DFT (PBE) and λ = 1.5418 Å (Cu Kα).
Lines closer than 0.1° are merged.

Principal peaks in the range 2θ from 10° to 80°, in order of rising 2θ:
d_spacing	Rel. int.	index
5.201	28	0 1 -1
4.572	38	1 0 0
3.769	37	1 -1 1
3.107	23	0 0 2
2.239	1000	2 -1 1
2.231	329	-1 2 1
1.942	218	2 0 -2
1.935	430	1 1 2
1.373	141	3 1 0
1.368	278	-1 1 4

Structure:
```
data_MnMo2Ir9
_cell_length_a 4.754
_cell_length_b 6.115
_cell_length_c 6.711
_cell_angle_alpha 111.54
_cell_angle_beta 90.13
_cell_angle_gamma 104.72
_space_group_name_H-M_alt 'P -1'
_space_group_IT_number 2
loop_
_space_group_symop_operation_xyz
'x,y,z'
'-x,-y,-z'
loop_
_atom_site_label
_atom_site_type_symbol
_atom_site_fract_x
_atom_site_fract_y
_atom_site_fract_z
Mn1 Mn 0.000 0.000 0.000
Mo1 Mo 0.088 0.762 0.588
Ir1 Ir 0.164 0.496 0.169
Ir2 Ir 0.248 0.252 0.748
Ir3 Ir 0.329 0.001 0.330
Ir4 Ir 0.411 0.755 0.916
Ir5 Ir 0.500 0.500 0.500
```

---

2.
Diffraction record for MnMoIr2. The powder diffraction line list is calculated, not measured: it uses a structure optimized by DFT (PBE) and λ = 1.5418 Å (Cu Kα).
Lines closer than 0.1° are merged.

Principal peaks in the range 2θ from 10° to 80°, in order of rising 2θ:
d_spacing	Rel. int.	index
3.192	320	0 1 1
2.728	125	1 0 0
2.374	141	0 0 2
2.365	226	1 0 1
2.155	365	0 2 0
2.080	463	0 1 2
2.074	1000	1 1 1
1.593	132	1 2 1
1.369	164	1 0 3
1.228	267	1 3 1

Structure:
```
data_MnMoIr2
_cell_length_a 2.728
_cell_length_b 4.311
_cell_length_c 4.748
_cell_angle_alpha 90.00
_cell_angle_beta 90.00
_cell_angle_gamma 90.00
_space_group_name_H-M_alt 'P m m 2'
_space_group_IT_number 25
loop_
_space_group_symop_operation_xyz
'x,y,z'
'-x,-y,z'
'-x,y,z'
'x,-y,z'
loop_
_atom_site_label
_atom_site_type_symbol
_atom_site_fract_x
_atom_site_fract_y
_atom_site_fract_z
Mn1 Mn 0.000 0.000 0.000
Mo1 Mo 0.000 0.500 0.670
Ir1 Ir 0.500 0.000 0.495
Ir2 Ir 0.500 0.500 0.148
```